(1)
The following is a calculated X-ray diffraction stick pattern of La2Cl. It was derived from the PBE geometry in Alexandria, using Cu Kα X-rays.
Kinematic intensities with the Lorentz-polarization factor, no thermal factor.

Structure:
```
data_La2Cl
_chemical_formula_sum 'La8 Cl4'
_cell_length_a 7.1823
_cell_length_b 7.1823
_cell_length_c 7.1823
_cell_angle_alpha 90.00
_cell_angle_beta 90.00
_cell_angle_gamma 90.00
_symmetry_space_group_name_H-M 'P a -3'
_symmetry_Int_Tables_number 205
_symmetry_space_group_name_Hall '-P 2ac 2ab 3'
loop_
_atom_site_label
_atom_site_fract_x
_atom_site_fract_y
_atom_site_fract_z
La1 0.1385 0.1385 0.1385
Cl1 0.0000 0.0000 0.5000
```

Principal peaks in the range 10 to 90 degrees two-theta, in order of rising 2θ:
2θ/deg	I (rel.)	(hkl)
27.77	100	2 1 0
30.49	65	2 1 1
41.71	27	3 1 1
45.54	11	3 0 2
47.36	43	3 1 2
50.85	11	4 0 0
58.93	21	4 2 1
70.62	16	5 0 2
74.77	10	4 4 0
82.85	14	5 2 3



(2)
The following is a calculated X-ray diffraction stick pattern of Ac5Sm2Pb5. It was derived from the PBE geometry in Alexandria, using Cu Kα X-rays.
Kinematic intensities with the Lorentz-polarization factor, no thermal factor.

Structure:
```
data_Ac5Sm2Pb5
_chemical_formula_sum 'Ac10 Sm4 Pb10'
_cell_length_a 15.8728
_cell_length_b 4.7607
_cell_length_c 13.6461
_cell_angle_alpha 90.00
_cell_angle_beta 110.60
_cell_angle_gamma 90.00
_symmetry_space_group_name_H-M 'C 1 2/m 1'
_symmetry_Int_Tables_number 12
loop_
_symmetry_equiv_pos_as_xyz
'x,y,z'
'-x,-y,-z'
'-x,y,-z'
'x,-y,z'
'x+1/2,y+1/2,z'
'-x+1/2,-y+1/2,-z'
'-x+1/2,y+1/2,-z'
'x+1/2,-y+1/2,z'
loop_
_atom_site_label
_atom_site_fract_x
_atom_site_fract_y
_atom_site_fract_z
Ac1 0.0000 0.0000 0.0000
Ac2 0.1626 0.0000 0.5415
Ac3 0.2313 0.0000 0.8474
Sm1 0.0496 0.5000 0.2922
Pb1 0.0000 0.5000 0.5000
Pb2 0.1113 0.5000 0.9168
Pb3 0.1839 0.0000 0.2871
```

Principal peaks in the range 10 to 90 degrees two-theta, in order of rising 2θ:
2θ/deg	I (rel.)	(hkl)
25.17	86	3 1 -1
25.96	47	3 1 0
26.28	100	3 1 -2
27.57	61	2 0 3
29.17	59	3 1 -3
32.51	59	1 1 -4
35.60	45	5 1 0
37.31	46	6 0 -4
37.79	60	0 2 0
38.39	49	5 1 1



(3)
The following is a calculated X-ray diffraction stick pattern of ScRe3Ru. It was derived from the PBE geometry in Alexandria, using Cu Kα X-rays.
Kinematic intensities with the Lorentz-polarization factor, no thermal factor.

Structure:
```
data_ScRe3Ru
_chemical_formula_sum 'Sc1 Re3 Ru1'
_cell_length_a 4.4858
_cell_length_b 4.4858
_cell_length_c 4.4858
_cell_angle_alpha 90.00
_cell_angle_beta 90.00
_cell_angle_gamma 90.00
_symmetry_space_group_name_H-M 'P m -3 m'
_symmetry_Int_Tables_number 221
_symmetry_space_group_name_Hall '-P 4 2 3'
loop_
_atom_site_label
_atom_site_fract_x
_atom_site_fract_y
_atom_site_fract_z
Sc1 0.0000 0.0000 0.0000
Re1 0.0000 0.0000 0.5000
Ru1 0.5000 0.5000 0.5000
```

Principal peaks in the range 10 to 90 degrees two-theta, in order of rising 2θ:
2θ/deg	I (rel.)	(hkl)
19.79	13	1 0 0
34.64	100	1 1 1
40.21	66	2 0 0
45.20	6	2 1 0
58.17	44	2 2 0
62.07	3	3 0 0
69.50	41	3 1 1
73.07	15	2 2 2
76.58	1	3 2 0
86.85	7	4 0 0